Calculated PXRD pattern
Compound: Cr3CoP6O24
Radiation: copper Kα
Structure: a structure optimized by DFT (GGA+U)
Intensities are scaled so that the largest is 100.

Structure:
Cell: 8.766 8.766 8.766 Å, 58.65 58.65 58.65°
Element x y z (fractional)
1 Cr 0.000 0.000 0.000
2 Cr 0.216 0.216 0.216
3 Cr 0.499 0.499 0.499
4 Co 0.717 0.717 0.717
5 P 0.111 0.390 0.823
6 P 0.322 0.893 0.607
7 P 0.390 0.823 0.111
8 P 0.607 0.322 0.893
9 P 0.823 0.111 0.390
10 P 0.893 0.607 0.322
11 O 0.081 0.220 0.850
12 O 0.082 0.441 0.287
13 O 0.142 0.914 0.783
14 O 0.150 0.362 0.989
15 O 0.220 0.850 0.081
16 O 0.276 0.425 0.635
17 O 0.287 0.082 0.441
18 O 0.352 0.727 0.567
19 O 0.362 0.989 0.150
20 O 0.425 0.635 0.276
21 O 0.441 0.287 0.082
22 O 0.494 0.864 0.636
23 O 0.567 0.352 0.727
24 O 0.571 0.800 0.935
25 O 0.635 0.276 0.425
26 O 0.636 0.494 0.864
27 O 0.727 0.567 0.352
28 O 0.783 0.142 0.914
29 O 0.800 0.935 0.571
30 O 0.850 0.081 0.220
31 O 0.864 0.636 0.494
32 O 0.914 0.783 0.142
33 O 0.935 0.571 0.800
34 O 0.989 0.150 0.362

Top 6 peaks for 2θ from 10° to 80°, by angle:
Position (°2θ)	I/Imax
14.44	39
20.27	59
20.69	28
24.11	100
29.12	45
32.38	29